Entry 1:
For Ac2In6IrRu, DFT lattice parameters and positions (PBE) gives the simulated powder diffraction line list in this record (Cu Kα, 1.54184 Å).

Principal peaks in the range 15° ≤ 2θ ≤ 90°, low angle first:
2theta, I_rel
24.32, 39
29.79, 35
29.99, 34
34.65, 100
49.83, 47
83.56, 16

Atomic structure:
abc: 7.318 7.318 7.290
angles: 119.82 119.82 89.97
Fractional coordinates of all 10 atoms:
1 Ac 0.250 0.750 0.000
2 Ac 0.750 0.250 0.000
3 In 0.249 0.249 0.500
4 In 0.249 0.249 0.998
5 In 0.249 0.751 0.500
6 In 0.751 0.249 0.500
7 In 0.751 0.751 0.002
8 In 0.751 0.751 0.500
9 Ir 0.500 0.500 0.500
10 Ru 0.000 0.000 0.500

=====

Entry 2:
For AcZnInIr2, DFT lattice parameters and positions (PBE) gives the simulated powder diffraction line list in this record (Cu Kα, 1.54184 Å).

Principal peaks in the range 15° ≤ 2θ ≤ 90°, low angle first:
2theta, I_rel
31.24, 21
33.65, 100
41.73, 24
42.74, 21
42.92, 21
44.43, 22

Atomic structure:
abc: 6.725 6.725 6.725
angles: 144.70 142.44 52.49
Fractional coordinates of all 5 atoms:
1 Ac 0.000 0.000 0.000
2 Zn 0.629 0.629 0.000
3 In 0.263 0.763 0.500
4 Ir 0.416 0.416 0.000
5 Ir 0.779 0.279 0.500

=====

Entry 3:
For KSrAcIn, DFT lattice parameters and positions (PBE) gives the simulated powder diffraction line list in this record (Cu Kα, 1.54184 Å).

Principal peaks in the range 15° ≤ 2θ ≤ 90°, low angle first:
2theta, I_rel
17.92, 22
29.47, 100
42.16, 19
52.28, 40
69.33, 17
84.59, 20

Atomic structure:
abc: 6.062 6.062 6.062
angles: 60.00 60.00 60.00
Fractional coordinates of all 4 atoms:
1 K 0.000 0.000 0.000
2 Sr 0.250 0.250 0.250
3 Ac 0.750 0.750 0.750
4 In 0.500 0.500 0.500

=====

Entry 4:
For AcLaIn6, DFT lattice parameters and positions (PBE) gives the simulated powder diffraction line list in this record (Cu Kα, 1.54184 Å).

Principal peaks in the range 15° ≤ 2θ ≤ 90°, low angle first:
2theta, I_rel
29.07, 25
33.87, 100
34.42, 22
51.53, 18
61.31, 18
63.45, 19

Atomic structure:
abc: 5.211 7.092 7.092
angles: 60.07 90.00 90.00
Fractional coordinates of all 8 atoms:
1 Ac 0.000 0.000 0.000
2 La 0.500 0.667 0.667
3 In 0.000 0.027 0.487
4 In 0.000 0.487 0.027
5 In 0.000 0.488 0.488
6 In 0.500 0.185 0.185
7 In 0.500 0.185 0.631
8 In 0.500 0.631 0.185

=====

Entry 5:
For Ac3LaIn, DFT lattice parameters and positions (PBE) gives the simulated powder diffraction line list in this record (Cu Kα, 1.54184 Å).

Principal peaks in the range 15° ≤ 2θ ≤ 90°, low angle first:
2theta, I_rel
29.00, 100
32.64, 17
34.05, 17
34.13, 17
47.92, 24
57.88, 15

Atomic structure:
abc: 13.965 13.965 5.266
angles: 90.00 90.00 158.32
Fractional coordinates of all 10 atoms:
1 Ac 0.054 0.946 0.750
2 Ac 0.250 0.750 0.750
3 Ac 0.443 0.557 0.750
4 Ac 0.557 0.443 0.250
5 Ac 0.750 0.250 0.250
6 Ac 0.946 0.054 0.250
7 La 0.346 0.654 0.250
8 La 0.654 0.346 0.750
9 In 0.153 0.847 0.250
10 In 0.847 0.153 0.750

=====

Entry 6:
For AcLa3In4, DFT lattice parameters and positions (PBE) gives the simulated powder diffraction line list in this record (Cu Kα, 1.54184 Å).

Principal peaks in the range 15° ≤ 2θ ≤ 90°, low angle first:
2theta, I_rel
31.69, 100
45.34, 12
56.39, 26
56.55, 13
66.26, 8
75.11, 11

Atomic structure:
abc: 11.317 7.959 5.657
angles: 90.00 90.00 90.00
Fractional coordinates of all 16 atoms:
1 Ac 0.000 0.000 0.000
2 Ac 0.500 0.000 0.000
3 La 0.000 0.500 0.000
4 La 0.250 0.000 0.499
5 La 0.250 0.500 0.499
6 La 0.500 0.500 0.000
7 La 0.750 0.000 0.501
8 La 0.750 0.500 0.501
9 In 0.000 0.256 0.500
10 In 0.000 0.744 0.500
11 In 0.250 0.257 0.998
12 In 0.250 0.743 0.998
13 In 0.500 0.256 0.500
14 In 0.500 0.744 0.500
15 In 0.750 0.257 0.002
16 In 0.750 0.743 0.002

=====

Entry 7:
For Ac8La6In, DFT lattice parameters and positions (PBE) gives the simulated powder diffraction line list in this record (Cu Kα, 1.54184 Å).

Principal peaks in the range 15° ≤ 2θ ≤ 90°, low angle first:
2theta, I_rel
23.81, 31
29.81, 32
30.22, 100
30.86, 83
43.74, 27
54.48, 21

Atomic structure:
abc: 10.037 10.037 7.323
angles: 90.00 90.00 120.00
Fractional coordinates of all 15 atoms:
1 Ac 0.035 0.692 0.380
2 Ac 0.308 0.342 0.380
3 Ac 0.333 0.667 0.749
4 Ac 0.342 0.035 0.620
5 Ac 0.658 0.965 0.380
6 Ac 0.667 0.333 0.251
7 Ac 0.692 0.658 0.620
8 Ac 0.965 0.308 0.620
9 La 0.048 0.367 0.104
10 La 0.319 0.952 0.104
11 La 0.367 0.319 0.896
12 La 0.633 0.681 0.104
13 La 0.681 0.048 0.896
14 La 0.952 0.633 0.896
15 In 0.000 0.000 0.000

=====

Entry 8:
For Ac2La3In, DFT lattice parameters and positions (PBE) gives the simulated powder diffraction line list in this record (Cu Kα, 1.54184 Å).

Principal peaks in the range 15° ≤ 2θ ≤ 90°, low angle first:
2theta, I_rel
29.43, 100
33.03, 18
34.55, 17
34.72, 16
56.79, 14
58.79, 14

Atomic structure:
abc: 8.540 8.540 5.168
angles: 90.00 90.00 144.60
Fractional coordinates of all 6 atoms:
1 Ac 0.164 0.836 0.000
2 Ac 0.836 0.164 0.000
3 La 0.000 0.000 0.500
4 La 0.344 0.656 0.500
5 La 0.656 0.344 0.500
6 In 0.500 0.500 0.000